Entry 1:
Starting from a structure optimized by DFT (GGA-PBE), the PXRD pattern of Sm2BiI3 was calculated for Cu Ka.

Structure:
a = 19.1484 Å, b = 4.6450 Å, c = 14.1900 Å
α = 90.00°, β = 125.73°, γ = 90.00°
Space group C2/m (No. 12)
Unique sites:
Sm 0.1059 0.0000 0.4463 x4
Sm 0.1348 0.5000 0.8318 x4
Bi 0.0957 0.0000 0.6630 x4
I 0.0565 0.5000 0.2533 x4
I 0.1612 0.0000 0.0176 x4
I 0.2383 0.5000 0.6039 x4

Main lines, by angle (10 to 80 degrees two-theta):
d (Å), I (rel.)
6.966, 34.4
3.886, 32.9
3.846, 45.9
3.180, 100.0
2.919, 51.8
2.818, 65.7
2.558, 31.1
2.322, 51.2
2.312, 57.7
2.294, 39.8

Entry 2:
Starting from a structure optimized by DFT (GGA-PBE), the PXRD pattern of Ba2SrAcF8 was calculated for Cu Ka.

Structure:
a = 6.1264 Å, b = 6.1264 Å, c = 12.3393 Å
α = 90.00°, β = 90.00°, γ = 90.00°
Space group I-4m2 (No. 119)
Unique sites:
Ba 0.0000 0.0000 0.0000 x2
Ba 0.0000 0.5000 0.2500 x2
Sr 0.0000 0.0000 0.5000 x2
Ac 0.0000 0.5000 0.7500 x2
F 0.2274 0.2524 0.6205 x16

Main lines, by angle (10 to 80 degrees two-theta):
d (Å), I (rel.)
5.487, 8.7
3.545, 100.0
3.085, 8.9
3.063, 17.7
2.174, 41.8
2.166, 20.6
1.858, 16.4
1.848, 32.2
1.410, 13.4
1.252, 12.7

Entry 3:
Starting from a structure optimized by DFT (GGA-PBE), the PXRD pattern of NdNp4Sb5 was calculated for Cu Ka.

Structure:
a = 4.3797 Å, b = 6.2505 Å, c = 22.3178 Å
α = 90.00°, β = 90.00°, γ = 90.00°
Space group Immm (No. 71)
Unique sites:
Nd 0.0000 0.0000 0.0000 x2
Np 0.0000 0.0000 0.2019 x4
Np 0.0000 0.0000 0.4012 x4
Sb 0.0000 0.5000 0.0000 x2
Sb 0.0000 0.5000 0.1988 x4
Sb 0.0000 0.5000 0.3965 x4

Main lines, by angle (10 to 80 degrees two-theta):
d (Å), I (rel.)
3.126, 100.0
2.232, 13.1
2.210, 51.5
2.190, 12.6
1.816, 14.1
1.793, 13.7
1.563, 13.0
1.398, 24.0
1.284, 8.9
1.268, 8.8

Entry 4:
Starting from a structure optimized by DFT (GGA-PBE), the PXRD pattern of Cs3Hg3Pt was calculated for Cu Ka.

Structure:
a = 22.6527 Å, b = 7.7068 Å, c = 15.3943 Å
α = 90.00°, β = 90.00°, γ = 90.00°
Space group Cmce (No. 64)
Unique sites:
Cs 0.0000 0.2087 0.1406 x8
Cs 0.1659 0.2019 0.8621 x16
Hg 0.0000 0.1904 0.4024 x8
Hg 0.1619 0.1914 0.6039 x16
Pt 0.0870 0.0000 0.5000 x8

Main lines, by angle (10 to 80 degrees two-theta):
d (Å), I (rel.)
7.697, 25.3
6.593, 46.6
3.851, 49.2
3.776, 40.8
3.550, 13.4
3.133, 27.8
2.723, 38.4
2.696, 100.0
1.887, 17.2
1.812, 26.4

Entry 5:
Starting from a structure optimized by DFT (GGA-PBE), the PXRD pattern of UCuO4 was calculated for Cu Ka.

Structure:
a = 7.3853 Å, b = 7.3853 Å, c = 6.0337 Å
α = 90.00°, β = 90.00°, γ = 90.00°
Space group I4_1md (No. 109)
Unique sites:
U 0.0000 0.0000 0.0000 x4
Cu 0.0000 0.0000 0.4961 x4
O 0.0000 0.3155 0.9955 x8
O 0.0000 0.3233 0.4964 x8

Main lines, by angle (10 to 80 degrees two-theta):
d (Å), I (rel.)
4.673, 44.1
3.693, 100.0
2.897, 27.6
2.612, 89.0
1.940, 13.9
1.847, 76.3
1.717, 13.3
1.651, 16.3
1.508, 24.2
1.306, 25.9

Entry 6:
Starting from a structure optimized by DFT (GGA-PBE), the PXRD pattern of Na4TmU3N8 was calculated for Cu Ka.

Structure:
a = 6.9640 Å, b = 6.9640 Å, c = 17.0131 Å
α = 90.00°, β = 90.00°, γ = 120.00°
Space group R-3m (No. 166, hexagonal axes)
Unique sites:
Na 0.0000 0.0000 0.0000 x3
Na 0.0000 0.5000 0.0000 x9
Tm 0.0000 0.0000 0.5000 x3
U 0.0000 0.5000 0.5000 x9
N 0.0000 0.0000 0.2286 x6
N 0.0206 0.5103 0.7727 x18

Main lines, by angle (10 to 80 degrees two-theta):
d (Å), I (rel.)
5.671, 100.0
2.969, 53.8
2.840, 84.1
2.460, 63.8
2.257, 22.3
1.892, 19.6
1.741, 22.6
1.738, 20.4
1.664, 23.6
1.484, 30.0

Entry 7:
Starting from a structure optimized by DFT (GGA-PBE), the PXRD pattern of Ac12Sn6Rh was calculated for Cu Ka.

Structure:
a = 14.3509 Å, b = 14.3509 Å, c = 13.3873 Å
α = 90.00°, β = 90.00°, γ = 120.00°
Space group R-3 (No. 148, hexagonal axes)
Unique sites:
Ac 0.0342 0.2033 0.3936 x18
Ac 0.0625 0.1953 0.8792 x18
Sn 0.0477 0.4322 0.3086 x18
Rh 0.0000 0.0000 0.0000 x3

Main lines, by angle (10 to 80 degrees two-theta):
d (Å), I (rel.)
4.432, 33.7
3.845, 72.7
3.588, 21.1
3.232, 55.1
3.065, 100.0
2.726, 76.7
2.712, 64.0
2.623, 33.6
1.923, 20.5
1.895, 24.7

Entry 8:
Starting from a structure optimized by DFT (GGA-PBE), the PXRD pattern of Ce2HgF8 was calculated for Cu Ka.

Structure:
a = 16.5182 Å, b = 3.7626 Å, c = 5.8968 Å
α = 90.00°, β = 106.80°, γ = 90.00°
Space group C2/m (No. 12)
Unique sites:
Ce 0.1818 0.0000 0.1954 x4
Hg 0.0000 0.5000 0.5000 x2
F 0.0645 0.0000 0.2958 x4
F 0.1149 0.5000 0.9946 x4
F 0.1933 0.5000 0.4692 x4
F 0.2190 0.0000 0.8401 x4

Main lines, by angle (10 to 80 degrees two-theta):
d (Å), I (rel.)
4.071, 100.0
3.794, 75.3
3.170, 88.7
3.062, 76.5
2.941, 31.8
2.636, 23.0
2.166, 41.6
2.079, 40.1
2.066, 36.1
1.881, 32.0

Q: Number 1 is which compound?
A: Sm2BiI3